No. 1
Starting from DFT lattice parameters and positions (GGA-PBE), the powder diffractogram of TbY3Ho was computed for Cu Ka.
Kinematic intensities with the Lorentz-polarization factor, no thermal factor.

Atomic structure:
```
data_TbY3Ho
_symmetry_space_group_name_H-M 'P 1 21/m 1'
_symmetry_Int_Tables_number 11
_cell_length_a 6.3075
_cell_length_b 5.6400
_cell_length_c 9.6313
_cell_angle_alpha 90.00
_cell_angle_beta 109.09
_cell_angle_gamma 90.00
loop_
_symmetry_equiv_pos_as_xyz
'x,y,z'
'-x,-y,-z'
'-x,y+1/2,-z'
'x,-y+1/2,z'
loop_
_atom_site_label
_atom_site_fract_x
_atom_site_fract_y
_atom_site_fract_z
Tb1 0.0691 0.2500 0.2993
Y1 0.1358 0.7500 0.0992
Y2 0.2644 0.2500 0.7014
Y3 0.3332 0.7500 0.5010
Ho1 0.4684 0.2500 0.0999
```

Most intense lines, 15° ≤ 2θ ≤ 90°, in order of falling intensity:
d [Å]  I_rel  hkl
2.752  100  1 1 2
3.153  24  2 0 -1
2.820  24  0 2 0
1.530  22  3 2 1
1.615  20  1 3 2
1.821  20  3 0 1
1.518  16  4 1 -2
2.102  15  2 2 -1
1.166  13  4 1 3
1.115  8  3 4 1

---

No. 2
Starting from DFT lattice parameters and positions (GGA-PBE), the powder diffractogram of Mg9Si5 was computed for Cu Ka.
Kinematic intensities with the Lorentz-polarization factor, no thermal factor.

Atomic structure:
```
data_Mg9Si5
_symmetry_space_group_name_H-M 'P 1'
_symmetry_Int_Tables_number 1
_cell_length_a 7.4965
_cell_length_b 7.8500
_cell_length_c 11.0047
_cell_angle_alpha 76.17
_cell_angle_beta 89.92
_cell_angle_gamma 63.39
loop_
_symmetry_equiv_pos_as_xyz
'x,y,z'
loop_
_atom_site_label
_atom_site_fract_x
_atom_site_fract_y
_atom_site_fract_z
Mg1 0.0000 0.0000 0.0000
Mg2 0.0016 0.9970 0.2746
Mg3 0.0717 0.2996 0.4473
Mg4 0.1044 0.1521 0.7322
Mg5 0.1376 0.2909 0.1580
Mg6 0.1780 0.8209 0.5658
Mg7 0.2308 0.3917 0.8660
Mg8 0.3119 0.5288 0.3679
Mg9 0.3291 0.5601 0.0722
Mg10 0.4620 0.7279 0.8048
Mg11 0.6062 0.0564 0.1307
Mg12 0.6276 0.5071 0.5782
Mg13 0.6691 0.1308 0.7769
Mg14 0.6978 0.5309 0.2525
Mg15 0.7449 0.1442 0.4863
Mg16 0.8105 0.7605 0.4167
Mg17 0.8256 0.6829 0.9779
Mg18 0.8550 0.7020 0.6875
Si1 0.0772 0.7974 0.8226
Si2 0.2968 0.3934 0.6174
Si3 0.3496 0.8685 0.1347
Si4 0.4171 0.8307 0.3585
Si5 0.4421 0.1255 0.3611
Si6 0.4425 0.9936 0.9329
Si7 0.4522 0.0348 0.5955
Si8 0.7488 0.3328 0.0702
Si9 0.8130 0.3946 0.8473
Si10 0.9705 0.6833 0.2063
```

Most intense lines, 15° ≤ 2θ ≤ 90°, in order of falling intensity:
d [Å]  I_rel  hkl
2.556  100  2 -1 0
2.385  81  3 1 1
2.518  73  2 3 1
2.582  64  1 1 4
2.573  46  1 -2 0
2.603  45  2 2 -2
2.336  44  0 3 1
2.471  31  -1 1 4
2.173  31  0 2 -3
2.291  31  -2 1 3

---

No. 3
Starting from DFT lattice parameters and positions (GGA-PBE), the powder diffractogram of Ba2Li2Bi5 was computed for Cu Ka.
Kinematic intensities with the Lorentz-polarization factor, no thermal factor.

Atomic structure:
```
data_Ba2Li2Bi5
_symmetry_space_group_name_H-M 'P 4/m m m'
_symmetry_Int_Tables_number 123
_symmetry_space_group_name_Hall '-P 4 2'
_cell_length_a 5.2219
_cell_length_b 5.2219
_cell_length_c 10.6288
_cell_angle_alpha 90.00
_cell_angle_beta 90.00
_cell_angle_gamma 90.00
loop_
_atom_site_label
_atom_site_fract_x
_atom_site_fract_y
_atom_site_fract_z
Ba1 0.0000 0.0000 0.0000
Ba2 0.0000 0.0000 0.5000
Li1 0.5000 0.5000 0.1402
Bi1 0.0000 0.5000 0.2571
Bi2 0.5000 0.5000 0.5000
```

Most intense lines, 15° ≤ 2θ ≤ 90°, in order of falling intensity:
d [Å]  I_rel  hkl
3.032  100  1 1 2
2.611  34  2 0 0
1.577  30  3 1 2
1.862  25  2 0 4
2.657  17  0 0 4
1.597  15  1 1 6
1.516  13  2 2 4
1.846  13  2 2 0
1.208  12  3 1 6
5.314  7  0 0 2

---

No. 4
Starting from DFT lattice parameters and positions (GGA-PBE), the powder diffractogram of La2DyP3Rh12 was computed for Cu Ka.
Kinematic intensities with the Lorentz-polarization factor, no thermal factor.

Atomic structure:
```
data_La2DyP3Rh12
_symmetry_space_group_name_H-M 'R -3 m'
_symmetry_Int_Tables_number 166
_symmetry_space_group_name_Hall '-R 3 2"'
_cell_length_a 8.9020
_cell_length_b 8.9020
_cell_length_c 13.3456
_cell_angle_alpha 90.00
_cell_angle_beta 90.00
_cell_angle_gamma 120.00
loop_
_atom_site_label
_atom_site_fract_x
_atom_site_fract_y
_atom_site_fract_z
La1 0.0000 0.0000 0.1167
Dy1 0.0000 0.0000 0.5000
P1 0.0000 0.5000 0.0000
Rh1 0.0167 0.5083 0.8307
Rh2 0.0443 0.5222 0.3720
```

Most intense lines, 15° ≤ 2θ ≤ 90°, in order of falling intensity:
d [Å]  I_rel  hkl
2.225  100  2 2 0
2.522  59  0 2 4
2.670  34  1 2 2
1.573  18  2 2 6
1.669  17  4 0 4
1.968  14  1 2 5
3.146  12  1 1 3
1.474  12  2 3 5
1.285  12  6 0 0
1.113  11  4 4 0

---

No. 5
Starting from DFT lattice parameters and positions (GGA-PBE), the powder diffractogram of V2OsRu6 was computed for Cu Ka.
Kinematic intensities with the Lorentz-polarization factor, no thermal factor.

Atomic structure:
```
data_V2OsRu6
_symmetry_space_group_name_H-M 'C 1 2/c 1'
_symmetry_Int_Tables_number 15
_cell_length_a 12.6140
_cell_length_b 6.4240
_cell_length_c 8.8382
_cell_angle_alpha 90.00
_cell_angle_beta 134.35
_cell_angle_gamma 90.00
loop_
_symmetry_equiv_pos_as_xyz
'x,y,z'
'-x,-y,-z'
'-x,y,-z+1/2'
'x,-y,z+1/2'
'x+1/2,y+1/2,z'
'-x+1/2,-y+1/2,-z'
'-x+1/2,y+1/2,-z+1/2'
'x+1/2,-y+1/2,z+1/2'
loop_
_atom_site_label
_atom_site_fract_x
_atom_site_fract_y
_atom_site_fract_z
V1 0.2223 0.0968 0.0708
Os1 0.0000 0.3916 0.7500
Ru1 0.0962 0.3506 0.1204
Ru2 0.1011 0.0538 0.7085
Ru3 0.1552 0.2982 0.5104
```

Most intense lines, 15° ≤ 2θ ≤ 90°, in order of falling intensity:
d [Å]  I_rel  hkl
2.130  100  4 2 -1
2.112  91  2 2 -3
2.082  80  1 3 -1
2.304  65  1 1 -3
2.036  49  3 1 -4
2.010  49  2 0 2
2.252  48  0 2 2
2.316  44  5 1 -2
1.982  38  6 0 -4
2.068  34  5 1 -1

---

No. 6
Starting from DFT lattice parameters and positions (GGA-PBE), the powder diffractogram of CsMn2Te4Au was computed for Cu Ka.
Kinematic intensities with the Lorentz-polarization factor, no thermal factor.

Atomic structure:
```
data_CsMn2Te4Au
_symmetry_space_group_name_H-M 'I 2 2 2'
_symmetry_Int_Tables_number 23
_cell_length_a 5.2877
_cell_length_b 10.3064
_cell_length_c 10.3581
_cell_angle_alpha 90.00
_cell_angle_beta 90.00
_cell_angle_gamma 90.00
loop_
_symmetry_equiv_pos_as_xyz
'x,y,z'
'-x,-y,z'
'x,-y,-z'
'-x,y,-z'
'x+1/2,y+1/2,z+1/2'
'-x+1/2,-y+1/2,z+1/2'
'x+1/2,-y+1/2,-z+1/2'
'-x+1/2,y+1/2,-z+1/2'
loop_
_atom_site_label
_atom_site_fract_x
_atom_site_fract_y
_atom_site_fract_z
Cs1 0.0000 0.0000 0.0000
Mn1 0.0000 0.5000 0.0937
Te1 0.2325 0.1879 0.3366
Au1 0.0000 0.0000 0.5000
```

Most intense lines, 15° ≤ 2θ ≤ 90°, in order of falling intensity:
d [Å]  I_rel  hkl
3.481  100  1 1 2
2.353  51  2 2 0
3.653  49  0 2 2
2.269  28  1 1 4
2.518  18  1 3 2
2.260  17  1 4 1
4.705  17  1 1 0
2.054  15  2 3 1
2.435  15  0 3 3
1.926  14  1 3 4

---

No. 7
Starting from DFT lattice parameters and positions (GGA-PBE), the powder diffractogram of Tm6TlPt2 was computed for Cu Ka.
Kinematic intensities with the Lorentz-polarization factor, no thermal factor.

Atomic structure:
```
data_Tm6TlPt2
_symmetry_space_group_name_H-M 'I m m m'
_symmetry_Int_Tables_number 71
_symmetry_space_group_name_Hall '-I 2 2'
_cell_length_a 9.3055
_cell_length_b 9.6473
_cell_length_c 10.3494
_cell_angle_alpha 90.00
_cell_angle_beta 90.00
_cell_angle_gamma 90.00
loop_
_atom_site_label
_atom_site_fract_x
_atom_site_fract_y
_atom_site_fract_z
Tm1 0.0000 0.2047 0.2367
Tm2 0.1983 0.5000 0.1689
Tm3 0.2090 0.3169 0.5000
Tl1 0.0000 0.0000 0.0000
Tl2 0.0000 0.0000 0.5000
Pt1 0.0000 0.3416 0.0000
Pt2 0.0000 0.5000 0.3642
```

Most intense lines, 15° ≤ 2θ ≤ 90°, in order of falling intensity:
d [Å]  I_rel  hkl
2.621  100  1 3 2
2.811  95  2 2 2
2.663  74  2 1 3
2.563  72  2 3 1
1.538  41  5 3 2
2.326  39  4 0 0
2.530  38  3 2 1
2.413  33  0 4 0
2.307  33  3 0 3
2.280  30  0 2 4